# 1
Calculated PXRD pattern of LiTbSmZn for Cu Kα, from a DFT-relaxed cell (PBE, Alexandria).

Crystal structure
abc: 3.6673 3.6673 7.4038
angles: 90.00 90.00 90.00
Space group P4mm (No. 99)
One atom of each set of equivalent atoms:
Li  0.0000  0.0000  0.0000
Tb  0.5000  0.5000  0.2620
Sm  0.5000  0.5000  0.7278
Zn  0.0000  0.0000  0.4882

Top 12 peaks for 2θ from 10° to 80°, in order of falling intensity:
d 2.605, 34.4 deg, intensity 100; d 2.593, 34.6 deg, intensity 51; d 3.667, 24.3 deg, intensity 46; d 1.499, 61.9 deg, intensity 36; d 3.702, 24.0 deg, intensity 22; d 7.404, 12.0 deg, intensity 22; d 2.124, 42.6 deg, intensity 20; d 1.834, 49.7 deg, intensity 18; d 1.507, 61.6 deg, intensity 16; d 1.303, 72.6 deg, intensity 10; d 1.640, 56.1 deg, intensity 9; d 2.047, 44.2 deg, intensity 9

=====

# 2
Calculated PXRD pattern of HfScAg for Cu Kα, from a DFT-relaxed cell (PBE, Alexandria).

Crystal structure
abc: 4.5558 17.5483 3.1895
angles: 90.00 90.00 90.00
Space group Ama2 (No. 40)
One atom of each set of equivalent atoms:
Hf  0.2500  0.2142  0.0000
Sc  0.2500  0.3917  0.9968
Ag  0.2500  0.0464  0.9958

Top 12 peaks for 2θ from 10° to 80°, in order of falling intensity:
d 2.584, 34.7 deg, intensity 100; d 2.461, 36.5 deg, intensity 82; d 2.278, 39.6 deg, intensity 36; d 2.360, 38.1 deg, intensity 33; d 2.096, 43.2 deg, intensity 31; d 1.639, 56.1 deg, intensity 26; d 4.043, 22.0 deg, intensity 26; d 1.338, 70.3 deg, intensity 23; d 8.774, 10.1 deg, intensity 23; d 1.971, 46.1 deg, intensity 22; d 4.387, 20.2 deg, intensity 22; d 3.138, 28.4 deg, intensity 20

=====

# 3
Calculated PXRD pattern of Ag2TeCl5 for Cu Kα, from a DFT-relaxed cell (PBE, Alexandria).

Crystal structure
abc: 6.0670 6.8053 6.8961
angles: 66.13 72.76 86.53
Space group P1 (No. 1)
One atom of each set of equivalent atoms:
Ag  0.0000  0.0000  0.0000
Ag  0.3992  0.5376  0.5850
Te  0.1714  0.4266  0.3315
Cl  0.0888  0.4012  0.9261
Cl  0.3830  0.7780  0.0209
Cl  0.4915  0.2143  0.2660
Cl  0.7959  0.6946  0.3868
Cl  0.9140  0.0917  0.6295

Top 12 peaks for 2θ from 10° to 80°, in order of falling intensity:
d 3.289, 27.1 deg, intensity 100; d 4.382, 20.3 deg, intensity 96; d 5.781, 15.3 deg, intensity 73; d 5.605, 15.8 deg, intensity 69; d 3.645, 24.4 deg, intensity 51; d 2.816, 31.8 deg, intensity 44; d 2.802, 31.9 deg, intensity 38; d 3.657, 24.3 deg, intensity 35; d 2.100, 43.1 deg, intensity 34; d 2.488, 36.1 deg, intensity 32; d 2.008, 45.2 deg, intensity 30; d 6.209, 14.3 deg, intensity 29

=====

# 4
Calculated PXRD pattern of Ho3Mg3Zn8 for Cu Kα, from a DFT-relaxed cell (PBE, Alexandria).

Crystal structure
abc: 4.4582 9.0703 13.4236
angles: 90.00 90.00 90.00
Space group Immm (No. 71)
One atom of each set of equivalent atoms:
Ho  0.0000  0.0000  0.0000
Ho  0.0000  0.0000  0.2924
Mg  0.0000  0.2038  0.5000
Mg  0.0000  0.5000  0.0000
Zn  0.0000  0.2740  0.1446
Zn  0.0000  0.3638  0.3347

Top 12 peaks for 2θ from 10° to 80°, in order of falling intensity:
d 2.592, 34.6 deg, intensity 100; d 2.503, 35.9 deg, intensity 90; d 2.229, 40.5 deg, intensity 46; d 2.571, 34.9 deg, intensity 44; d 2.698, 33.2 deg, intensity 39; d 4.006, 22.2 deg, intensity 34; d 6.712, 13.2 deg, intensity 33; d 3.158, 28.3 deg, intensity 29; d 1.666, 55.1 deg, intensity 27; d 1.391, 67.3 deg, intensity 23; d 1.718, 53.3 deg, intensity 20; d 2.237, 40.3 deg, intensity 19